The following is a simulated XRD peak list of Ba2CoRh. It was derived from a structure optimized by DFT (PBE), using Cu Kα (weighted mean of Kα1 and Kα2).
Neutral-atom scattering factors, no anomalous dispersion.

Structure:
Cell lengths 7.451, 4.300, 8.869 Å; angles 90.00, 105.56, 90.00 degrees
Space group Cm (No. 8)
Inequivalent atoms, fractional coordinates:
Ba 0.000 0.000 0.000 (multiplicity 2)
Ba 0.160 0.000 0.502 (multiplicity 2)
Co 0.247 0.500 0.251 (multiplicity 2)
Rh 0.413 0.000 0.251 (multiplicity 2)

Largest 6 diffraction maxima, low angle first, 10 to 90 degrees two-theta:
2θ (°), intensity, (hkl)
10.4, 100, 0 0 1
24.1, 33, 1 1 0
27.6, 34, 1 1 1
29.7, 61, 1 1 -2
34.2, 41, 1 1 2
42.0, 64, 0 2 0